This entry pairs a crystal structure of ScNF4 with its theoretical X-ray diffraction stick pattern. Radiation: a wavelength of 1.5418 Å. Structure: a cell relaxed with GGA-PBE.
Neutral-atom scattering factors, no anomalous dispersion.

Main lines, low angle first (10 to 90 degrees two-theta):
16.10 deg, d = 5.507 Å, I 88; 22.73 deg, d = 3.912 Å, I 37; 23.90 deg, d = 3.724 Å, I 100; 27.98 deg, d = 3.189 Å, I 53; 34.53 deg, d = 2.597 Å, I 33; 40.05 deg, d = 2.251 Å, I 23; 42.31 deg, d = 2.136 Å, I 34; 45.87 deg, d = 1.978 Å, I 42; 49.46 deg, d = 1.843 Å, I 26; 58.32 deg, d = 1.582 Å, I 21

Atomic structure:
a b c (Å): 5.8512 5.8512 7.8230
angles (deg): 90.00 90.00 140.48
Fractional coordinates of all 12 atoms:
Sc  0.0000  0.0000  0.0000
Sc  0.0000  0.0000  0.5000
N  0.3104  0.6896  0.7500
N  0.6896  0.3104  0.2500
F  0.0567  0.9433  0.7500
F  0.1741  0.8259  0.0927
F  0.1741  0.8259  0.4073
F  0.5000  0.5000  0.0000
F  0.5000  0.5000  0.5000
F  0.8259  0.1741  0.5927
F  0.8259  0.1741  0.9073
F  0.9433  0.0567  0.2500